Pa2GeAs3: theoretical powder diffractogram (λ = 1.5418 Å (Cu Kα)), based on the GGA-PBE geometry in Alexandria.
No peak broadening, texture or thermal motion is included.

Top 6 peaks for 10 to 90 degrees two-theta, low angle first:
| 2theta | I (rel.) | h k l |
| --- | --- | --- |
| 24.72 | 88.4 | 1 0 1 |
| 31.54 | 49.3 | 1 1 0 |
| 33.44 | 50.0 | 1 1 1 |
| 38.64 | 100.0 | 1 1 2 |
| 40.00 | 45.6 | 1 0 3 |
| 45.21 | 51.9 | 2 0 0 |

```
data_Pa2GeAs3
_space_group_name_H-M_alt 'P -4 m 2'
_space_group_IT_number 115
_cell_length_a 4.0117
_cell_length_b 4.0117
_cell_length_c 8.1730
_cell_angle_alpha 90.00
_cell_angle_beta 90.00
_cell_angle_gamma 90.00
loop_
_space_group_symop_operation_xyz
'x,y,z'
'y,-x,-z'
'-x,-y,z'
'-y,x,-z'
'-x,y,z'
'-y,-x,-z'
'x,-y,z'
'y,x,-z'
loop_
_atom_site_label
_atom_site_fract_x
_atom_site_fract_y
_atom_site_fract_z
Pa1 0.0000 0.5000 0.2151
Ge1 0.0000 0.0000 0.5000
As1 0.0000 0.5000 0.8565
As2 0.5000 0.5000 0.5000
```

---

Ca4NdPb15: theoretical powder diffractogram (λ = 1.5418 Å (Cu Kα)), based on the GGA-PBE geometry in Alexandria.
No peak broadening, texture or thermal motion is included.

Top 6 peaks for 10 to 90 degrees two-theta, low angle first:
| 2theta | I (rel.) | h k l |
| --- | --- | --- |
| 31.37 | 100.0 | 1 1 5 |
| 36.16 | 17.3 | 0 0 10 |
| 36.49 | 33.7 | 2 0 0 |
| 52.31 | 24.3 | 2 0 10 |
| 62.06 | 14.7 | 1 1 15 |
| 62.50 | 28.8 | 3 1 5 |

```
data_Ca4NdPb15
_space_group_name_H-M_alt 'P 4/m m m'
_space_group_IT_number 123
_space_group_name_Hall '-P 4 2'
_cell_length_a 4.9248
_cell_length_b 4.9248
_cell_length_c 24.8396
_cell_angle_alpha 90.00
_cell_angle_beta 90.00
_cell_angle_gamma 90.00
loop_
_atom_site_label
_atom_site_fract_x
_atom_site_fract_y
_atom_site_fract_z
Ca1 0.0000 0.0000 0.1000
Ca2 0.0000 0.0000 0.3006
Nd1 0.0000 0.0000 0.5000
Pb1 0.0000 0.5000 0.0000
Pb2 0.0000 0.5000 0.2000
Pb3 0.0000 0.5000 0.3991
Pb4 0.5000 0.5000 0.1004
Pb5 0.5000 0.5000 0.3000
Pb6 0.5000 0.5000 0.5000
```

---

Ga2AgSb2Au7: theoretical powder diffractogram (λ = 1.5418 Å (Cu Kα)), based on the GGA-PBE geometry in Alexandria.
No peak broadening, texture or thermal motion is included.

Top 6 peaks for 10 to 90 degrees two-theta, low angle first:
| 2theta | I (rel.) | h k l |
| --- | --- | --- |
| 22.19 | 59.1 | 0 0 4 |
| 31.76 | 76.7 | 2 0 0 |
| 35.55 | 90.3 | 0 2 3 |
| 39.40 | 45.0 | 0 0 7 |
| 42.35 | 43.5 | 0 2 5 |
| 44.78 | 100.0 | 2 2 -1 |

```
data_Ga2AgSb2Au7
_space_group_name_H-M_alt 'C 1 2/m 1'
_space_group_IT_number 12
_cell_length_a 5.7216
_cell_length_b 5.7276
_cell_length_c 16.2412
_cell_angle_alpha 90.00
_cell_angle_beta 99.74
_cell_angle_gamma 90.00
loop_
_space_group_symop_operation_xyz
'x,y,z'
'-x,-y,-z'
'-x,y,-z'
'x,-y,z'
'x+1/2,y+1/2,z'
'-x+1/2,-y+1/2,-z'
'-x+1/2,y+1/2,-z'
'x+1/2,-y+1/2,z'
loop_
_atom_site_label
_atom_site_fract_x
_atom_site_fract_y
_atom_site_fract_z
Ga1 0.1204 0.0000 0.2471
Ag1 0.0000 0.5000 0.0000
Sb1 0.2106 0.5000 0.4223
Au1 0.0000 0.0000 0.0000
Au2 0.1815 0.2499 0.8601
Au3 0.2018 0.0000 0.4038
```

---

BaAcRhO6: theoretical powder diffractogram (λ = 1.5418 Å (Cu Kα)), based on the GGA-PBE geometry in Alexandria.
No peak broadening, texture or thermal motion is included.

Top 6 peaks for 10 to 90 degrees two-theta, low angle first:
| 2theta | I (rel.) | h k l |
| --- | --- | --- |
| 16.14 | 21.8 | 0 0 1 |
| 23.80 | 100.0 | 1 0 1 |
| 30.33 | 47.9 | 1 1 0 |
| 38.92 | 27.1 | 2 0 1 |
| 45.14 | 45.1 | 2 -1 2 |
| 50.12 | 27.2 | 3 -1 1 |

```
data_BaAcRhO6
_space_group_name_H-M_alt 'P 3 1 2'
_space_group_IT_number 149
_cell_length_a 5.8931
_cell_length_b 5.8931
_cell_length_c 5.4906
_cell_angle_alpha 90.00
_cell_angle_beta 90.00
_cell_angle_gamma 120.00
loop_
_space_group_symop_operation_xyz
'x,y,z'
'-y,x-y,z'
'-x+y,-x,z'
'-y,-x,-z'
'-x+y,y,-z'
'x,x-y,-z'
loop_
_atom_site_label
_atom_site_fract_x
_atom_site_fract_y
_atom_site_fract_z
Ba1 0.0000 0.0000 0.0000
Ac1 0.3333 0.6667 0.5000
Rh1 0.6667 0.3333 0.5000
O1 0.3964 0.0590 0.7014
```